This entry pairs a crystal structure of KCo2PdCl8 with its calculated powder diffraction line list. Radiation: Cu Kα, 1.54184 Å. Structure: a PBE-relaxed structure.

Main lines, sorted by position (2θ = 15–90°):
d [Å]  two_theta  I (rel.)  index
5.312  16.69  25.4  1 0 1
4.292  20.69  100.0  1 0 4
3.123  28.59  36.2  1 1 0
2.960  30.19  48.3  1 1 3
2.602  34.48  35.5  2 -1 6
2.525  35.55  22.0  0 2 4
1.879  48.45  41.6  1 1 12
1.803  50.63  35.3  3 0 0

a = 6.2451 Å, b = 6.2451 Å, c = 28.2229 Å
α = 90.00°, β = 90.00°, γ = 120.00°
Space group R-3 (No. 148, hexagonal axes)
Inequivalent atoms, fractional coordinates:
K (0.0000, 0.0000, 0.0000) [3 per cell]
Co (0.0000, 0.0000, 0.2423) [6 per cell]
Pd (0.0000, 0.0000, 0.5000) [3 per cell]
Cl (0.0000, 0.0000, 0.3195) [6 per cell]
Cl (0.0028, 0.6812, 0.4479) [18 per cell]